Record 1
Sc2Pt: theoretical powder diffraction line list (Cu Kα X-rays), based on the GGA-PBE geometry in the Materials Project.
Peak positions follow from Bragg's law for the DFT cell and can differ from measured ones.

Structural model:
```
data_Sc2Pt
_chemical_formula_sum 'Sc8 Pt4'
_cell_length_a 6.624
_cell_length_b 4.520
_cell_length_c 8.254
_cell_angle_alpha 90.00
_cell_angle_beta 90.00
_cell_angle_gamma 90.00
_space_group_name_H-M_alt 'P n m a'
_space_group_IT_number 62
loop_
_space_group_symop_operation_xyz
'x,y,z'
'-x,-y,-z'
'-x+1/2,-y,z+1/2'
'x+1/2,y,-z+1/2'
'x+1/2,-y+1/2,-z+1/2'
'-x+1/2,y+1/2,z+1/2'
'-x,y+1/2,-z'
'x,-y+1/2,z'
loop_
_atom_site_label
_atom_site_type_symbol
_atom_site_fract_x
_atom_site_fract_y
_atom_site_fract_z
_atom_site_occupancy
Sc1 Sc 0.013 0.250 0.174 1
Sc2 Sc 0.148 0.250 0.577 1
Pt1 Pt 0.241 0.250 0.903 1
```

Peak list (10 most intense, 10° ≤ 2θ ≤ 90°, in order of rising 2θ)
2θ (°)	I (rel.)	h k l
22.4	38	0 1 1
25.4	73	1 0 2
26.2	100	1 1 1
26.9	37	2 0 0
35.3	74	2 1 1
38.3	65	0 1 3
39.9	41	0 2 0
47.1	35	3 1 1
47.4	47	2 1 3
47.9	28	1 2 2

Record 2
Ta2OsRu: theoretical powder diffraction line list (Cu Kα X-rays), based on the GGA-PBE geometry in the Materials Project.
Peak positions follow from Bragg's law for the DFT cell and can differ from measured ones.

Structural model:
```
data_Ta2OsRu
_chemical_formula_sum 'Ta8 Os4 Ru4'
_cell_length_a 6.372
_cell_length_b 6.372
_cell_length_c 6.372
_cell_angle_alpha 90.00
_cell_angle_beta 90.00
_cell_angle_gamma 90.00
_space_group_name_H-M_alt 'F m -3 m'
_space_group_IT_number 225
_space_group_name_Hall '-F 4 2 3'
loop_
_atom_site_label
_atom_site_type_symbol
_atom_site_fract_x
_atom_site_fract_y
_atom_site_fract_z
_atom_site_occupancy
Ta1 Ta 0.250 0.250 0.250 1
Os1 Os 0.000 0.000 0.000 1
Ru1 Ru 0.000 0.000 0.500 1
```

Peak list (10 most intense, 10° ≤ 2θ ≤ 90°, in order of rising 2θ)
2θ (°)	I (rel.)	h k l
24.2	4	1 1 1
28.0	1	2 0 0
40.0	100	2 2 0
47.3	2	3 1 1
57.9	17	4 0 0
63.6	1	3 3 1
65.5	1	4 2 0
72.7	35	4 2 2
77.9	1	5 1 1
86.4	11	4 4 0